This entry pairs a crystal structure of Sm2Tm2Th5 with its simulated powder XRD pattern. Radiation: λ = 1.5418 Å (Cu Kα). Structure: a structure optimized by DFT (GGA-PBE).
Neutral-atom scattering factors, no anomalous dispersion.

Principal peaks in the range 10° ≤ 2θ ≤ 90°, in order of rising 2θ:
d/Å, 2θ (°), I_rel, h k l
2.914, 30.68, 100.0, 3 1 0
2.533, 35.44, 34.2, 4 0 -3
2.506, 35.84, 16.7, 0 2 0
1.781, 51.29, 24.4, 4 2 -3
1.527, 60.66, 22.1, 7 1 -3
1.514, 61.22, 14.5, 3 3 0

Crystal structure
```
data_Sm2Tm2Th5
_chemical_formula_sum 'Sm4 Tm4 Th10'
_symmetry_space_group_name_H-M 'C 1 2/m 1'
_symmetry_Int_Tables_number 12
_cell_length_a 11.3253
_cell_length_b 5.0114
_cell_length_c 10.7573
_cell_angle_alpha 90.00
_cell_angle_beta 108.57
_cell_angle_gamma 90.00
loop_
_symmetry_equiv_pos_as_xyz
'x,y,z'
'-x,-y,-z'
'-x,y,-z'
'x,-y,z'
'x+1/2,y+1/2,z'
'-x+1/2,-y+1/2,-z'
'-x+1/2,y+1/2,-z'
'x+1/2,-y+1/2,z'
loop_
_atom_site_label
_atom_site_type_symbol
_atom_site_fract_x
_atom_site_fract_y
_atom_site_fract_z
Sm1 Sm 0.1659 0.0000 0.0577
Tm1 Tm 0.1676 0.0000 0.3918
Th1 Th 0.0000 0.5000 0.5000
Th2 Th 0.0017 0.5000 0.1719
Th3 Th 0.1633 0.0000 0.7200
```